1.
# Mg3PaN4
Theoretical powder diffractogram, a wavelength of 1.5418 Å. Input: a cell relaxed with PBE.
Kinematic intensities with the Lorentz-polarization factor, no thermal factor.

Cell and atoms:
Unit cell a=5.4872 b=5.4872 c=3.3764 alpha=90.00 beta=90.00 gamma=107.88
Element x y z (fractional)
Mg: 0.0000 0.0000 0.0000
Mg: 0.0000 0.5000 0.5000
Mg: 0.5000 0.0000 0.5000
Pa: 0.5000 0.5000 0.0000
N: 0.2499 0.2499 0.5000
N: 0.2588 0.7412 0.0000
N: 0.7412 0.2588 0.0000
N: 0.7501 0.7501 0.5000

Peak list (6 most intense, 5° ≤ 2θ ≤ 70°, sorted by position)
2θ/deg	I_rel
17.0	100
20.0	34
31.6	46
33.3	49
38.6	42
57.3	34



2.
# Ac3Al4
Theoretical powder diffractogram, a wavelength of 1.5418 Å. Input: a cell relaxed with PBE.
Kinematic intensities with the Lorentz-polarization factor, no thermal factor.

Cell and atoms:
Unit cell a=6.3864 b=6.3864 c=14.5891 alpha=90.00 beta=90.00 gamma=136.70
Element x y z (fractional)
Ac: 0.0253 0.9747 0.7500
Ac: 0.2704 0.7296 0.1033
Ac: 0.2704 0.7296 0.3967
Ac: 0.7296 0.2704 0.6033
Ac: 0.7296 0.2704 0.8967
Ac: 0.9747 0.0253 0.2500
Al: 0.0000 0.0000 0.0000
Al: 0.0000 0.0000 0.5000
Al: 0.3178 0.6822 0.7500
Al: 0.4389 0.5611 0.5908
Al: 0.4389 0.5611 0.9092
Al: 0.5611 0.4389 0.0908
Al: 0.5611 0.4389 0.4092
Al: 0.6822 0.3178 0.2500

Peak list (6 most intense, 5° ≤ 2θ ≤ 70°, sorted by position)
2θ/deg	I_rel
19.3	39
21.2	34
27.4	100
28.7	69
30.1	88
31.9	42



3.
# LiTaP2S
Theoretical powder diffractogram, a wavelength of 1.5418 Å. Input: a cell relaxed with PBE.
Kinematic intensities with the Lorentz-polarization factor, no thermal factor.

Cell and atoms:
Unit cell a=4.8580 b=4.8580 c=4.7929 alpha=90.00 beta=90.00 gamma=90.00
Element x y z (fractional)
Li: 0.0000 0.0000 0.0000
Ta: 0.5000 0.5000 0.5000
P: 0.0000 0.5000 0.5000
P: 0.5000 0.0000 0.5000
S: 0.5000 0.5000 0.0000

Peak list (6 most intense, 5° ≤ 2θ ≤ 70°, sorted by position)
2θ/deg	I_rel
18.3	100
18.5	46
25.9	23
26.1	43
37.0	30
41.6	24



4.
# Dy2Y2Ga4Pd
Theoretical powder diffractogram, a wavelength of 1.5418 Å. Input: a cell relaxed with PBE.
Kinematic intensities with the Lorentz-polarization factor, no thermal factor.

Cell and atoms:
Unit cell a=6.5769 b=6.5769 c=6.5769 alpha=115.69 beta=115.69 gamma=97.65
Element x y z (fractional)
Dy: 0.2500 0.7500 0.5000
Dy: 0.7500 0.2500 0.5000
Y: 0.1919 0.1919 0.0000
Y: 0.8081 0.8081 0.0000
Ga: 0.2498 0.2498 0.4996
Ga: 0.2498 0.7502 0.0000
Ga: 0.7502 0.2498 0.0000
Ga: 0.7502 0.7502 0.5004
Pd: 0.5000 0.5000 0.0000

Peak list (6 most intense, 5° ≤ 2θ ≤ 70°, sorted by position)
2θ/deg	I_rel
27.4	33
32.9	100
36.3	76
52.3	26
56.5	28
63.2	30



5.
# Sc4Te3Pb
Theoretical powder diffractogram, a wavelength of 1.5418 Å. Input: a cell relaxed with PBE.
Kinematic intensities with the Lorentz-polarization factor, no thermal factor.

Cell and atoms:
Unit cell a=7.2515 b=8.3792 c=7.2412 alpha=90.00 beta=109.59 gamma=90.00
Element x y z (fractional)
Sc: 0.2458 0.1232 0.0014
Sc: 0.2455 0.3710 0.4945
Sc: 0.2455 0.6290 0.9945
Sc: 0.2458 0.8768 0.5014
Sc: 0.7542 0.1232 0.4986
Sc: 0.7545 0.3710 0.0055
Sc: 0.7545 0.6290 0.5055
Sc: 0.7542 0.8768 0.9986
Te: 0.0000 0.3753 0.7500
Te: 0.0000 0.6247 0.2500
Te: 0.5000 0.1263 0.7500
Te: 0.5000 0.3776 0.2500
Te: 0.5000 0.6224 0.7500
Te: 0.5000 0.8737 0.2500
Pb: 0.0000 0.1234 0.2500
Pb: 0.0000 0.8766 0.7500

Peak list (6 most intense, 5° ≤ 2θ ≤ 70°, sorted by position)
2θ/deg	I_rel
26.1	52
30.2	100
43.2	61
43.3	12
51.2	22
53.6	19



6.
# Ce2PmOs2
Theoretical powder diffractogram, a wavelength of 1.5418 Å. Input: a cell relaxed with PBE.
Kinematic intensities with the Lorentz-polarization factor, no thermal factor.

Cell and atoms:
Unit cell a=6.4269 b=6.4269 c=10.6010 alpha=116.08 beta=116.08 gamma=38.39
Element x y z (fractional)
Ce: 0.0488 0.0488 0.2082
Ce: 0.1785 0.1785 0.5863
Ce: 0.8215 0.8215 0.4137
Ce: 0.9512 0.9512 0.7918
Pm: 0.3058 0.3058 0.1435
Pm: 0.6942 0.6942 0.8565
Os: 0.3804 0.3804 0.9121
Os: 0.4393 0.4393 0.5789
Os: 0.5607 0.5607 0.4211
Os: 0.6196 0.6196 0.0879

Peak list (6 most intense, 5° ≤ 2θ ≤ 70°, sorted by position)
2θ/deg	I_rel
22.6	39
30.7	41
32.1	74
35.1	100
37.4	70
42.8	55



7.
# TbHg2Pd5
Theoretical powder diffractogram, a wavelength of 1.5418 Å. Input: a cell relaxed with PBE.
Kinematic intensities with the Lorentz-polarization factor, no thermal factor.

Cell and atoms:
Unit cell a=8.5323 b=8.5323 c=4.2425 alpha=104.23 beta=104.23 gamma=28.79
Element x y z (fractional)
Tb: 0.0000 0.0000 0.0000
Hg: 0.2526 0.2526 0.2524
Hg: 0.7474 0.7474 0.7476
Pd: 0.1256 0.1256 0.6250
Pd: 0.3744 0.3744 0.8744
Pd: 0.5000 0.5000 0.5000
Pd: 0.6256 0.6256 0.1256
Pd: 0.8744 0.8744 0.3750

Peak list (6 most intense, 5° ≤ 2θ ≤ 70°, sorted by position)
2θ/deg	I_rel
11.1	6
37.5	100
42.6	35
45.4	14
61.9	12
64.0	10



8.
# Ho6Tl2Pt
Theoretical powder diffractogram, a wavelength of 1.5418 Å. Input: a cell relaxed with PBE.
Kinematic intensities with the Lorentz-polarization factor, no thermal factor.

Cell and atoms:
Unit cell a=3.8267 b=8.6638 c=8.6638 alpha=119.91 beta=90.00 gamma=90.00
Element x y z (fractional)
Ho: 0.0000 0.0000 0.0000
Ho: 0.0000 0.5114 0.7547
Ho: 0.0000 0.7547 0.5114
Ho: 0.5000 0.1497 0.7550
Ho: 0.5000 0.3597 0.3597
Ho: 0.5000 0.7550 0.1497
Tl: 0.0000 0.0882 0.4219
Tl: 0.0000 0.4219 0.0882
Pt: 0.5000 0.7568 0.7568

Peak list (6 most intense, 5° ≤ 2θ ≤ 70°, sorted by position)
2θ/deg	I_rel
31.2	100
31.5	62
33.4	100
35.9	66
39.5	62
58.8	47



9.
# Nd2MgPtO5
Theoretical powder diffractogram, a wavelength of 1.5418 Å. Input: a cell relaxed with PBE.
Kinematic intensities with the Lorentz-polarization factor, no thermal factor.

Cell and atoms:
Unit cell a=6.7217 b=6.7217 c=5.8149 alpha=90.00 beta=90.00 gamma=90.00
Element x y z (fractional)
Nd: 0.1718 0.3282 0.0000
Nd: 0.3282 0.8282 0.0000
Nd: 0.6718 0.1718 0.0000
Nd: 0.8282 0.6718 0.0000
Mg: 0.0000 0.0000 0.5000
Mg: 0.5000 0.5000 0.5000
Pt: 0.0000 0.5000 0.5000
Pt: 0.5000 0.0000 0.5000
O: 0.0000 0.0000 0.0000
O: 0.1470 0.6470 0.2538
O: 0.1470 0.6470 0.7462
O: 0.3530 0.1470 0.2538
O: 0.3530 0.1470 0.7462
O: 0.5000 0.5000 0.0000
O: 0.6470 0.8530 0.2538
O: 0.6470 0.8530 0.7462
O: 0.8530 0.3530 0.2538
O: 0.8530 0.3530 0.7462

Peak list (6 most intense, 5° ≤ 2θ ≤ 70°, sorted by position)
2θ/deg	I_rel
18.7	52
30.7	100
33.6	40
37.9	17
43.3	29
45.4	38



10.
# Pa2V2Se7
Theoretical powder diffractogram, a wavelength of 1.5418 Å. Input: a cell relaxed with PBE.
Kinematic intensities with the Lorentz-polarization factor, no thermal factor.

Cell and atoms:
Unit cell a=9.1307 b=9.1307 c=9.1307 alpha=60.00 beta=60.00 gamma=60.00
Element x y z (fractional)
Pa: 0.0000 0.0000 0.0000
Pa: 0.0000 0.0000 0.5000
Pa: 0.0000 0.5000 0.0000
Pa: 0.5000 0.0000 0.0000
V: 0.0000 0.5000 0.5000
V: 0.5000 0.0000 0.5000
V: 0.5000 0.5000 0.0000
V: 0.5000 0.5000 0.5000
Se: 0.1250 0.1250 0.1250
Se: 0.1554 0.1554 0.5946
Se: 0.1554 0.5946 0.1554
Se: 0.1554 0.5946 0.5946
Se: 0.4054 0.4054 0.8446
Se: 0.4054 0.8446 0.4054
Se: 0.4054 0.8446 0.8446
Se: 0.5946 0.1554 0.1554
Se: 0.5946 0.1554 0.5946
Se: 0.5946 0.5946 0.1554
Se: 0.8446 0.4054 0.4054
Se: 0.8446 0.4054 0.8446
Se: 0.8446 0.8446 0.4054
Se: 0.8750 0.8750 0.8750

Peak list (6 most intense, 5° ≤ 2θ ≤ 70°, sorted by position)
2θ/deg	I_rel
11.9	30
23.9	72
30.2	44
36.1	16
39.5	100
46.7	37



11.
# Pm2Co
Theoretical powder diffractogram, a wavelength of 1.5418 Å. Input: a cell relaxed with PBE.
Kinematic intensities with the Lorentz-polarization factor, no thermal factor.

Cell and atoms:
Unit cell a=6.5474 b=6.5474 c=8.3367 alpha=125.21 beta=125.21 gamma=33.27
Element x y z (fractional)
Pm: 0.0777 0.0777 0.3866
Pm: 0.3228 0.3228 0.9124
Pm: 0.6772 0.6772 0.0876
Pm: 0.9223 0.9223 0.6134
Co: 0.3842 0.3842 0.3064
Co: 0.6158 0.6158 0.6936

Peak list (6 most intense, 5° ≤ 2θ ≤ 70°, sorted by position)
2θ/deg	I_rel
28.0	46
29.0	45
32.2	85
32.9	100
36.0	36
41.1	37